1.
Diffraction record for Tl5PS4F2. The powder diffraction line list is simulated, not measured: it uses the GGA-PBE geometry in Alexandria and Cu Kα (λ = 1.5418 Å).

Top 6 peaks for 2θ = 15–90°, by intensity:
2θ/deg  d [Å]  Rel. int.
28.0  3.184  100
25.7  3.466  74
31.7  2.824  62
36.1  2.487  60
23.2  3.827  59
27.2  3.273  54

Atomic structure:
```
Tl5PS4F2
1.0
8.371 0.000 0.000
0.000 5.252 3.827
0.000 -5.252 3.827
Tl P S F
5 1 4 2
Direct
0.000 0.000 0.000
0.232 0.426 0.802
0.232 0.802 0.426
0.768 0.426 0.802
0.768 0.802 0.426
0.500 0.100 0.100
0.297 0.254 0.254
0.500 0.102 0.783
0.500 0.783 0.102
0.703 0.254 0.254
0.000 0.143 0.661
0.000 0.661 0.143
```

---

2.
Diffraction record for SbPF3. The powder diffraction line list is simulated, not measured: it uses the GGA-PBE geometry in Alexandria and Cu Kα (λ = 1.5418 Å).

Top 6 peaks for 2θ = 15–90°, by intensity:
2θ/deg  d [Å]  Rel. int.
27.9  3.193  100
19.7  4.516  81
39.9  2.258  48
49.4  1.843  41
44.9  2.019  38
57.7  1.596  29

Atomic structure:
```
SbPF3
1.0
4.516 0.000 0.000
0.000 4.516 0.000
0.000 0.000 4.516
Sb P F
1 1 3
Direct
0.000 0.000 0.000
0.500 0.500 0.500
0.000 0.000 0.500
0.000 0.500 0.000
0.500 0.000 0.000
```